Entry 1:
Diffraction record for Ba3Dy2WO9. The PXRD pattern is theoretical, not measured: it uses a structure optimized by DFT (PBE+U) and CuKα.
Neutral-atom scattering factors, no anomalous dispersion.

The 6 most intense peaks (15° ≤ 2θ ≤ 90°), low angle first:
- 29.23 deg, d 3.056, I 1000
- 41.81 deg, d 2.161, I 279
- 51.82 deg, d 1.764, I 397
- 60.61 deg, d 1.528, I 172
- 68.73 deg, d 1.366, I 117
- 83.72 deg, d 1.155, I 129

Structural model:
Lattice parameters (Å, degrees): 10.5843 10.5843 10.5843 146.48 131.74 60.04
Positions (direct):
Ba: 0.0798 0.3398 0.7401
Ba: 0.2336 0.0000 0.2336
Ba: 0.4003 0.6602 0.7401
Ba: 0.5997 0.3398 0.2599
Ba: 0.7664 0.0000 0.7664
Ba: 0.9202 0.6602 0.2599
Dy: 0.0000 0.5000 0.5000
Dy: 0.1720 0.1720 0.0000
Dy: 0.5000 0.5000 0.0000
Dy: 0.8280 0.8280 0.0000
W: 0.3342 0.8342 0.5000
W: 0.6658 0.1658 0.5000
O: 0.0895 0.3385 0.2491
O: 0.0895 0.8404 0.7509
O: 0.1018 0.8304 0.2714
O: 0.2532 0.5000 0.7532
O: 0.2597 0.5301 0.2704
O: 0.2597 0.9893 0.7296
O: 0.4103 0.1388 0.7286
O: 0.4103 0.6817 0.2714
O: 0.4409 0.1696 0.2714
O: 0.5591 0.8304 0.7286
O: 0.5897 0.3183 0.7286
O: 0.5897 0.8612 0.2714
O: 0.7403 0.0107 0.2704
O: 0.7403 0.4699 0.7296
O: 0.7468 0.5000 0.2468
O: 0.8982 0.1696 0.7286
O: 0.9105 0.1596 0.2491
O: 0.9105 0.6615 0.7509

***

Entry 2:
Diffraction record for LiTiV3O8. The PXRD pattern is theoretical, not measured: it uses a structure optimized by DFT (PBE+U) and CuKα.
Neutral-atom scattering factors, no anomalous dispersion.

The 6 most intense peaks (15° ≤ 2θ ≤ 90°), low angle first:
- 17.57 deg, d 5.047, I 1000
- 34.89 deg, d 2.571, I 101
- 35.00 deg, d 2.564, I 93
- 42.03 deg, d 2.150, I 343
- 42.98 deg, d 2.104, I 155
- 55.07 deg, d 1.668, I 102

Structural model:
Lattice parameters (Å, degrees): 5.9164 5.9375 6.1044 91.21 118.92 118.55
Positions (direct):
Li: 0.0000 0.0000 0.0000
Ti: 0.5000 0.5000 0.5000
V: 0.0000 0.0000 0.5000
V: 0.0000 0.5000 0.5000
V: 0.5000 0.0000 0.5000
O: 0.0366 0.7870 0.2989
O: 0.0426 0.2634 0.2997
O: 0.4689 0.2280 0.6948
O: 0.4730 0.7365 0.6992
O: 0.5270 0.2636 0.3008
O: 0.5311 0.7720 0.3052
O: 0.9574 0.7366 0.7003
O: 0.9634 0.2130 0.7011